KAl2Si4O11: calculated PXRD pattern (Cu Kα (weighted mean of Kα1 and Kα2)), based on a PBE-relaxed structure.
Intensities are scaled so that the largest is 100.

Cell and atoms:
```
KAl2Si4O11
1.0
2.6385 -4.6337 0.0000
2.6385 4.6337 0.0000
-2.0452 0.0000 20.6568
K Al Si O
2 4 8 22
Direct
0.0998 0.9002 0.7500 K
0.9002 0.0998 0.2500 K
0.1834 0.3689 0.0000 Al
0.3689 0.1834 0.5000 Al
0.6311 0.8166 0.5000 Al
0.8166 0.6311 0.0000 Al
0.1869 0.7019 0.1342 Si
0.2981 0.8131 0.3658 Si
0.3995 0.5338 0.6340 Si
0.4662 0.6005 0.8660 Si
0.5338 0.3995 0.1340 Si
0.6005 0.4662 0.3660 Si
0.7019 0.1869 0.6342 Si
0.8131 0.2981 0.8658 Si
0.0000 0.0000 0.0000 O
0.0000 0.0000 0.5000 O
0.0575 0.4173 0.6510 O
0.1007 0.5927 0.0565 O
0.1242 0.3952 0.8319 O
0.3370 0.5251 0.1677 O
0.3952 0.1242 0.3319 O
0.4073 0.8993 0.4435 O
0.4173 0.0575 0.1510 O
0.4523 0.5292 0.5566 O
0.4708 0.5477 0.9434 O
0.4749 0.6630 0.3323 O
0.5251 0.3370 0.6677 O
0.5292 0.4523 0.0566 O
0.5477 0.4708 0.4434 O
0.5827 0.9425 0.8490 O
0.5927 0.1007 0.5565 O
0.6048 0.8758 0.6681 O
0.6630 0.4749 0.8323 O
0.8758 0.6048 0.1681 O
0.8993 0.4073 0.9435 O
0.9425 0.5827 0.3490 O
```

Largest 10 diffraction maxima, sorted by position, 2θ = 10–90°:
2θ (°)  I (rel.)
19.4  59
19.5  100
22.4  56
23.1  63
24.9  67
25.9  95
27.1  51
29.0  41
30.4  32
34.2  60

***

CsTcNClO4: calculated PXRD pattern (Cu Kα (weighted mean of Kα1 and Kα2)), based on a PBE-relaxed structure.
Intensities are scaled so that the largest is 100.

Cell and atoms:
```
CsTcNClO4
1.0
6.6263 0.0000 0.0000
0.0000 8.8013 0.0000
0.0000 0.0000 11.6783
Cs Tc N Cl O
4 4 4 4 16
Direct
0.2212 0.1147 0.1752 Cs
0.2788 0.8853 0.6752 Cs
0.7212 0.3853 0.8248 Cs
0.7788 0.6147 0.3248 Cs
0.2098 0.4262 0.5559 Tc
0.2902 0.5738 0.0559 Tc
0.7098 0.0738 0.4441 Tc
0.7902 0.9262 0.9441 Tc
0.0027 0.5262 0.5784 N
0.4973 0.4738 0.0784 N
0.5027 0.9738 0.4216 N
0.9973 0.0262 0.9216 N
0.2146 0.2831 0.7284 Cl
0.2854 0.7169 0.2284 Cl
0.7146 0.2169 0.2716 Cl
0.7854 0.7831 0.7716 Cl
0.0699 0.4544 0.1257 O
0.0892 0.4223 0.0050 O
0.1199 0.2379 0.4795 O
0.1836 0.3517 0.3978 O
0.3164 0.6483 0.8978 O
0.3801 0.7621 0.9795 O
0.4108 0.5777 0.5050 O
0.4301 0.5456 0.6257 O
0.5699 0.0456 0.8743 O
0.5892 0.0777 0.9950 O
0.6199 0.2621 0.5205 O
0.6836 0.1483 0.6022 O
0.8164 0.8517 0.1022 O
0.8801 0.7379 0.0205 O
0.9108 0.9223 0.4950 O
0.9301 0.9544 0.3743 O
```

Largest 10 diffraction maxima, sorted by position, 2θ = 10–90°:
2θ (°)  I (rel.)
20.3  100
21.6  56
22.7  85
25.5  69
26.9  41
28.8  29
32.3  37
33.6  25
34.3  25
34.8  36

***

Copy entry 1 word for word.
KAl2Si4O11: calculated PXRD pattern (Cu Kα (weighted mean of Kα1 and Kα2)), based on a PBE-relaxed structure.
Intensities are scaled so that the largest is 100.

Cell and atoms:
```
KAl2Si4O11
1.0
2.6385 -4.6337 0.0000
2.6385 4.6337 0.0000
-2.0452 0.0000 20.6568
K Al Si O
2 4 8 22
Direct
0.0998 0.9002 0.7500 K
0.9002 0.0998 0.2500 K
0.1834 0.3689 0.0000 Al
0.3689 0.1834 0.5000 Al
0.6311 0.8166 0.5000 Al
0.8166 0.6311 0.0000 Al
0.1869 0.7019 0.1342 Si
0.2981 0.8131 0.3658 Si
0.3995 0.5338 0.6340 Si
0.4662 0.6005 0.8660 Si
0.5338 0.3995 0.1340 Si
0.6005 0.4662 0.3660 Si
0.7019 0.1869 0.6342 Si
0.8131 0.2981 0.8658 Si
0.0000 0.0000 0.0000 O
0.0000 0.0000 0.5000 O
0.0575 0.4173 0.6510 O
0.1007 0.5927 0.0565 O
0.1242 0.3952 0.8319 O
0.3370 0.5251 0.1677 O
0.3952 0.1242 0.3319 O
0.4073 0.8993 0.4435 O
0.4173 0.0575 0.1510 O
0.4523 0.5292 0.5566 O
0.4708 0.5477 0.9434 O
0.4749 0.6630 0.3323 O
0.5251 0.3370 0.6677 O
0.5292 0.4523 0.0566 O
0.5477 0.4708 0.4434 O
0.5827 0.9425 0.8490 O
0.5927 0.1007 0.5565 O
0.6048 0.8758 0.6681 O
0.6630 0.4749 0.8323 O
0.8758 0.6048 0.1681 O
0.8993 0.4073 0.9435 O
0.9425 0.5827 0.3490 O
```

Largest 10 diffraction maxima, sorted by position, 2θ = 10–90°:
2θ (°)  I (rel.)
19.4  59
19.5  100
22.4  56
23.1  63
24.9  67
25.9  95
27.1  51
29.0  41
30.4  32
34.2  60